Theoretical powder diffraction line list of Cs4K2Pt for Cu Kα, from the GGA-PBE geometry in Alexandria.
Kinematic intensities with the Lorentz-polarization factor, no thermal factor.

Structure:
Lattice parameters (Å, degrees): 6.779 6.779 25.057 90.00 90.00 90.00
Space group I4/mmm (No. 139)
Asymmetric unit:
1 Cs 0.000 0.000 0.132
2 Cs 0.000 0.500 0.000
3 K 0.000 0.000 0.316
4 Pt 0.000 0.000 0.000

Principal peaks in the range 5° ≤ 2θ ≤ 70°, in order of falling intensity:
Position (°2θ)	I (rel.)
7.1	100
13.5	81
26.3	50
34.1	27
29.7	26
28.2	26
23.4	24
21.3	22

***

Theoretical powder diffraction line list of Na2Pu2TcN6 for Cu Kα, from the GGA-PBE geometry in Alexandria.
Kinematic intensities with the Lorentz-polarization factor, no thermal factor.

Structure:
Lattice parameters (Å, degrees): 5.732 9.759 6.002 90.00 106.72 90.00
Space group C2/m (No. 12)
Asymmetric unit:
1 Na 0.000 0.159 0.000
2 Pu 0.000 0.335 0.500
3 Tc 0.000 0.000 0.500
4 N 0.211 0.166 0.679
5 N 0.244 0.500 0.682

Principal peaks in the range 5° ≤ 2θ ≤ 70°, in order of falling intensity:
Position (°2θ)	I (rel.)
15.4	100
37.8	33
32.0	30
33.5	29
31.1	19
38.3	16
32.6	16
31.8	15

***

Theoretical powder diffraction line list of KVCuSe2 for Cu Kα, from the GGA-PBE geometry in Alexandria.
Kinematic intensities with the Lorentz-polarization factor, no thermal factor.

Structure:
Lattice parameters (Å, degrees): 5.684 14.757 5.343 90.00 90.00 90.00
Space group Cmme (No. 67)
Asymmetric unit:
1 K 0.000 0.250 0.225
2 V 0.250 0.000 0.500
3 Cu 0.000 0.000 0.000
4 Se 0.000 0.115 0.709

Principal peaks in the range 5° ≤ 2θ ≤ 70°, in order of falling intensity:
Position (°2θ)	I (rel.)
29.3	100
12.0	70
31.5	35
43.6	31
41.7	31
35.8	28
23.6	22
37.9	20

***

Theoretical powder diffraction line list of Pa2Cu4O9 for Cu Kα, from the GGA-PBE geometry in Alexandria.
Kinematic intensities with the Lorentz-polarization factor, no thermal factor.

Structure:
Lattice parameters (Å, degrees): 5.194 5.369 15.008 84.51 89.35 67.74
Space group P-1 (No. 2)
Asymmetric unit:
1 Pa 0.058 0.476 0.357
2 Pa 0.069 0.499 0.124
3 Cu 0.317 0.840 0.770
4 Cu 0.332 0.837 0.984
5 Cu 0.334 0.834 0.497
6 Cu 0.418 0.827 0.185
7 O 0.020 0.239 0.241
8 O 0.090 0.796 0.413
9 O 0.119 0.885 0.091
10 O 0.208 0.235 0.762
11 O 0.248 0.471 0.967
12 O 0.273 0.572 0.577
13 O 0.364 0.511 0.239
14 O 0.393 0.125 0.427
15 O 0.475 0.133 0.120

Principal peaks in the range 5° ≤ 2θ ≤ 70°, in order of falling intensity:
Position (°2θ)	I (rel.)
30.5	100
17.9	45
33.9	43
31.4	38
20.3	35
29.9	31
18.5	29
30.7	28

***

Theoretical powder diffraction line list of Ac3Pd2Br for Cu Kα, from the GGA-PBE geometry in Alexandria.
Kinematic intensities with the Lorentz-polarization factor, no thermal factor.

Structure:
Lattice parameters (Å, degrees): 4.837 14.990 10.927 90.00 90.00 90.00
Space group Cmcm (No. 63)
Asymmetric unit:
1 Ac 0.000 0.114 0.250
2 Ac 0.000 0.375 0.049
3 Pd 0.000 0.000 0.000
4 Pd 0.000 0.487 0.750
5 Br 0.000 0.220 0.750

Principal peaks in the range 5° ≤ 2θ ≤ 70°, in order of falling intensity:
Position (°2θ)	I (rel.)
30.5	100
27.2	51
39.0	46
26.9	36
37.2	34
46.7	25
32.8	23
49.3	20

***

Theoretical powder diffraction line list of SrCaCd2 for Cu Kα, from the GGA-PBE geometry in Alexandria.
Kinematic intensities with the Lorentz-polarization factor, no thermal factor.

Structure:
Lattice parameters (Å, degrees): 7.937 11.176 5.574 90.00 90.00 90.00
Space group Cmcm (No. 63)
Asymmetric unit:
1 Sr 0.000 0.125 0.250
2 Ca 0.000 0.374 0.750
3 Cd 0.238 0.377 0.250

Principal peaks in the range 5° ≤ 2θ ≤ 70°, in order of falling intensity:
Position (°2θ)	I (rel.)
32.0	100
32.1	20
57.1	14
57.2	14
46.0	14
56.9	14
66.9	8
22.5	7